1.
# Er2Tm5In
Simulated powder diffraction line list, copper Kα. Input: the GGA-PBE geometry in Alexandria.
Neutral-atom scattering factors, no anomalous dispersion.

Cell and atoms:
a b c (Å): 6.4531 6.4531 15.2745
angles (deg): 90.00 90.00 131.22
Fractional positions:
Er1 0.2209 0.7791 0.6340
Er2 0.2209 0.7791 0.8660
Er3 0.7791 0.2209 0.1340
Er4 0.7791 0.2209 0.3660
Tm1 0.0851 0.9149 0.0878
Tm2 0.0851 0.9149 0.4122
Tm3 0.3893 0.6107 0.0535
Tm4 0.3893 0.6107 0.4465
Tm5 0.4739 0.5261 0.7500
Tm6 0.5261 0.4739 0.2500
Tm7 0.6107 0.3893 0.5535
Tm8 0.6107 0.3893 0.9465
Tm9 0.9149 0.0851 0.5878
Tm10 0.9149 0.0851 0.9122
In1 0.2487 0.7513 0.2500
In2 0.7513 0.2487 0.7500

The 10 most intense peaks (10 to 90 degrees two-theta), sorted by position:
3.091 Å, rel. 13
3.001 Å, rel. 31
2.743 Å, rel. 22
2.683 Å, rel. 100
2.665 Å, rel. 46
2.585 Å, rel. 43
2.546 Å, rel. 13
1.911 Å, rel. 16
1.601 Å, rel. 17
1.542 Å, rel. 19


2.
# MgInCoN
Simulated powder diffraction line list, copper Kα. Input: the GGA-PBE geometry in Alexandria.
Neutral-atom scattering factors, no anomalous dispersion.

Cell and atoms:
a b c (Å): 3.4693 3.6540 5.6093
angles (deg): 90.00 90.00 90.00
Fractional positions:
Mg1 0.0000 0.0000 0.0000
In1 0.5000 0.0000 0.5483
Co1 0.5000 0.5000 0.2046
N1 0.0000 0.5000 0.1932

The 10 most intense peaks (10 to 90 degrees two-theta), sorted by position:
5.609 Å, rel. 45
3.469 Å, rel. 51
3.062 Å, rel. 90
2.951 Å, rel. 54
2.805 Å, rel. 23
2.296 Å, rel. 100
2.225 Å, rel. 53
1.872 Å, rel. 40
1.735 Å, rel. 20
1.368 Å, rel. 20


3.
# Nb2Pb2Se4O15
Simulated powder diffraction line list, copper Kα. Input: the GGA-PBE geometry in Alexandria.
Neutral-atom scattering factors, no anomalous dispersion.

Cell and atoms:
a b c (Å): 14.0140 14.0140 7.8751
angles (deg): 94.03 94.03 29.72
Fractional positions:
Nb1 0.0628 0.0791 0.2371
Nb2 0.0791 0.0628 0.7371
Nb3 0.9209 0.9372 0.2629
Nb4 0.9372 0.9209 0.7629
Pb1 0.1868 0.4038 0.6852
Pb2 0.4038 0.1868 0.1852
Pb3 0.5962 0.8132 0.8148
Pb4 0.8132 0.5962 0.3148
Se1 0.0821 0.2942 0.9367
Se2 0.2942 0.0821 0.4367
Se3 0.3396 0.4987 0.4844
Se4 0.4987 0.3396 0.9844
Se5 0.5013 0.6604 0.0156
Se6 0.6604 0.5013 0.5156
Se7 0.7058 0.9179 0.5633
Se8 0.9179 0.7058 0.0633
O1 0.0014 0.1491 0.0154
O2 0.0034 0.9966 0.7500
O3 0.0454 0.5191 0.1843
O4 0.1423 0.1550 0.2834
O5 0.1491 0.0014 0.5154
O6 0.1550 0.1423 0.7834
O7 0.1664 0.2997 0.4512
O8 0.1949 0.6556 0.3091
O9 0.1996 0.6498 0.6629
O10 0.2997 0.1664 0.9512
O11 0.3299 0.3861 0.4685
O12 0.3444 0.8051 0.1909
O13 0.3502 0.8004 0.8371
O14 0.3861 0.3299 0.9685
O15 0.4809 0.9546 0.3157
O16 0.5191 0.0454 0.6843
O17 0.6139 0.6701 0.0315
O18 0.6498 0.1996 0.1629
O19 0.6556 0.1949 0.8091
O20 0.6701 0.6139 0.5315
O21 0.7003 0.8336 0.0488
O22 0.8004 0.3502 0.3371
O23 0.8051 0.3444 0.6909
O24 0.8336 0.7003 0.5488
O25 0.8450 0.8577 0.2166
O26 0.8509 0.9986 0.4846
O27 0.8577 0.8450 0.7166
O28 0.9546 0.4809 0.8157
O29 0.9966 0.0034 0.2500
O30 0.9986 0.8509 0.9846

The 10 most intense peaks (10 to 90 degrees two-theta), sorted by position:
3.593 Å, rel. 25
3.393 Å, rel. 30
3.377 Å, rel. 59
3.291 Å, rel. 71
3.268 Å, rel. 30
3.154 Å, rel. 100
2.994 Å, rel. 62
2.825 Å, rel. 25
2.385 Å, rel. 29
2.052 Å, rel. 31


4.
# Mg4In5Pd2
Simulated powder diffraction line list, copper Kα. Input: the GGA-PBE geometry in Alexandria.
Neutral-atom scattering factors, no anomalous dispersion.

Cell and atoms:
a b c (Å): 7.5717 3.2364 9.7179
angles (deg): 90.00 94.21 90.00
Fractional positions:
Mg1 0.1940 0.0000 0.3558
Mg2 0.2015 0.0000 0.9399
Mg3 0.7985 0.0000 0.0601
Mg4 0.8060 0.0000 0.6442
In1 0.1591 0.5000 0.6503
In2 0.4618 0.5000 0.1651
In3 0.5000 0.5000 0.5000
In4 0.5382 0.5000 0.8349
In5 0.8409 0.5000 0.3497
Pd1 0.0839 0.5000 0.1427
Pd2 0.9161 0.5000 0.8573

The 10 most intense peaks (10 to 90 degrees two-theta), sorted by position:
3.949 Å, rel. 35
3.236 Å, rel. 100
2.549 Å, rel. 30
2.517 Å, rel. 34
2.503 Å, rel. 48
2.457 Å, rel. 30
2.370 Å, rel. 25
2.357 Å, rel. 31
2.286 Å, rel. 21
1.446 Å, rel. 21